(1)
# LiAc3Sn3
Simulated powder diffraction line list, CuKα. Input: a structure optimized by DFT (PBE).
Peak positions follow from Bragg's law for the DFT cell and can differ from measured ones.

Most intense lines, 5° ≤ 2θ ≤ 70°, by angle:
Position (°2θ)	I/Imax
24.19	25
28.21	37
28.35	48
28.55	16
28.66	100
29.11	47
32.46	21
34.73	49
35.81	30
36.27	45
47.14	37
55.57	15

```
LiAc3Sn3
1.0
6.1415 -2.4767 0.0000
6.1415 2.4767 0.0000
-5.5181 0.0000 15.0494
Li Ac Sn
2 6 6
Direct
0.2445 0.2445 0.4058
0.7555 0.7555 0.5942
0.2495 0.2495 0.7746
0.4043 0.4043 0.0801
0.4642 0.4642 0.6163
0.5358 0.5358 0.3837
0.5957 0.5957 0.9199
0.7505 0.7505 0.2254
0.0439 0.0439 0.2359
0.1235 0.1235 0.0757
0.1324 0.1324 0.5477
0.8676 0.8676 0.4523
0.8765 0.8765 0.9243
0.9561 0.9561 0.7641
```

(2)
# Li2Ac3Sn3
Simulated powder diffraction line list, CuKα. Input: a structure optimized by DFT (PBE).
Peak positions follow from Bragg's law for the DFT cell and can differ from measured ones.

Most intense lines, 5° ≤ 2θ ≤ 70°, by angle:
Position (°2θ)	I/Imax
20.31	23
21.84	15
25.51	16
29.10	48
29.35	100
30.96	19
33.03	18
36.15	14
36.77	27
47.21	15
47.72	14
56.43	15

```
Li2Ac3Sn3
1.0
2.4444 -6.0897 0.0000
2.4444 6.0897 0.0000
0.0000 0.0000 16.4058
Li Ac Sn
4 6 6
Direct
0.2122 0.7878 0.5853
0.2122 0.7878 0.9147
0.7878 0.2122 0.0853
0.7878 0.2122 0.4147
0.0877 0.9123 0.1114
0.0877 0.9123 0.3886
0.3738 0.6262 0.2500
0.6262 0.3738 0.7500
0.9123 0.0877 0.6114
0.9123 0.0877 0.8886
0.3254 0.6746 0.7500
0.3915 0.6085 0.0431
0.3915 0.6085 0.4569
0.6085 0.3915 0.5431
0.6085 0.3915 0.9569
0.6746 0.3254 0.2500
```

(3)
# LiAc5Sn6
Simulated powder diffraction line list, CuKα. Input: a structure optimized by DFT (PBE).
Peak positions follow from Bragg's law for the DFT cell and can differ from measured ones.

Most intense lines, 5° ≤ 2θ ≤ 70°, by angle:
Position (°2θ)	I/Imax
22.44	7
30.65	100
33.28	19
34.40	19
38.75	14
48.61	14
51.98	11
52.72	6
57.84	14
59.30	16
63.87	6
65.16	12

```
LiAc5Sn6
1.0
5.3257 -8.0768 0.0000
5.3257 8.0768 0.0000
-2.5461 0.0000 4.5506
Li Ac Sn
1 5 6
Direct
0.0000 0.0000 0.0000
0.1502 0.8498 0.5000
0.3290 0.6710 0.0000
0.5000 0.5000 0.5000
0.6710 0.3290 0.0000
0.8498 0.1502 0.5000
0.0847 0.4136 0.2492
0.2487 0.2487 0.7486
0.4136 0.0847 0.2492
0.5864 0.9153 0.7508
0.7513 0.7513 0.2514
0.9153 0.5864 0.7508
```

(4)
# Li2Ac5Sn5
Simulated powder diffraction line list, CuKα. Input: a structure optimized by DFT (PBE).
Peak positions follow from Bragg's law for the DFT cell and can differ from measured ones.

Most intense lines, 5° ≤ 2θ ≤ 70°, by angle:
Position (°2θ)	I/Imax
19.25	19
22.09	23
24.08	40
28.83	100
29.88	51
30.30	41
31.13	20
33.90	29
34.06	73
36.53	43
47.88	29
60.05	23

```
Li2Ac5Sn5
1.0
8.5690 -2.4599 0.0000
8.5690 2.4599 0.0000
-7.6563 0.0000 9.2339
Li Ac Sn
2 5 5
Direct
0.1469 0.1469 0.2592
0.8531 0.8531 0.7408
0.3079 0.3079 0.1742
0.3947 0.3947 0.5778
0.5000 0.5000 0.0000
0.6053 0.6053 0.4222
0.6921 0.6921 0.8258
0.0000 0.0000 0.5000
0.0591 0.0591 0.8535
0.2480 0.2480 0.6791
0.7520 0.7520 0.3209
0.9409 0.9409 0.1465
```

(5)
# LiAc6Sn5
Simulated powder diffraction line list, CuKα. Input: a structure optimized by DFT (PBE).
Peak positions follow from Bragg's law for the DFT cell and can differ from measured ones.

Most intense lines, 5° ≤ 2θ ≤ 70°, by angle:
Position (°2θ)	I/Imax
21.02	19
23.16	7
29.64	28
30.17	29
31.47	100
42.80	21
47.33	8
53.76	21
54.41	22
56.84	9
57.16	9
65.70	12

```
LiAc6Sn5
1.0
-2.9625 3.8410 9.0429
2.9625 -3.8410 9.0429
2.9625 3.8410 -9.0429
Li Ac Sn
1 6 5
Direct
0.0000 0.0000 0.0000
0.0856 0.8278 0.2578
0.2687 0.5000 0.7687
0.4301 0.1722 0.2578
0.5699 0.8278 0.7422
0.7313 0.5000 0.2313
0.9144 0.1722 0.7422
0.1531 0.6531 0.5000
0.3309 0.3309 0.0000
0.5000 0.0000 0.5000
0.6691 0.6691 0.0000
0.8469 0.3469 0.5000
```

(6)
# Li4AcSn2
Simulated powder diffraction line list, CuKα. Input: a structure optimized by DFT (PBE).
Peak positions follow from Bragg's law for the DFT cell and can differ from measured ones.

Most intense lines, 5° ≤ 2θ ≤ 70°, by angle:
Position (°2θ)	I/Imax
14.92	86
21.42	41
23.92	58
30.09	58
30.28	100
33.75	19
37.24	53
37.71	22
38.81	26
48.98	31
58.23	22
62.67	30

```
Li4AcSn2
1.0
8.3990 0.0000 0.0000
0.0000 8.3990 0.0000
0.0000 0.0000 4.7709
Li Ac Sn
8 2 4
Direct
0.1008 0.3475 0.0000
0.1525 0.6008 0.5000
0.3475 0.1008 0.0000
0.3992 0.8475 0.5000
0.6008 0.1525 0.5000
0.6525 0.8992 0.0000
0.8475 0.3992 0.5000
0.8992 0.6525 0.0000
0.0000 0.0000 0.5000
0.5000 0.5000 0.0000
0.2134 0.7866 0.0000
0.2866 0.2866 0.5000
0.7134 0.7134 0.5000
0.7866 0.2134 0.0000
```

(7)
# SrLi2Ac2Sn2
Simulated powder diffraction line list, CuKα. Input: a structure optimized by DFT (PBE).
Peak positions follow from Bragg's law for the DFT cell and can differ from measured ones.

Most intense lines, 5° ≤ 2θ ≤ 70°, by angle:
Position (°2θ)	I/Imax
8.49	32
20.70	68
25.02	26
28.72	68
30.83	100
35.91	77
46.62	18
48.04	30
51.33	17
57.59	32
60.21	18
61.41	29

```
SrLi2Ac2Sn2
1.0
2.5006 1.4437 10.4135
-2.5006 1.4437 10.4135
0.0000 -2.8875 10.4135
Sr Li Ac Sn
1 2 2 2
Direct
0.0000 0.0000 0.0000
0.3985 0.3985 0.3985
0.6015 0.6015 0.6015
0.1267 0.1267 0.1267
0.8733 0.8733 0.8733
0.2623 0.2623 0.2623
0.7377 0.7377 0.7377
```

(8)
# Li2AcY2Sn2
Simulated powder diffraction line list, CuKα. Input: a structure optimized by DFT (PBE).
Peak positions follow from Bragg's law for the DFT cell and can differ from measured ones.

Most intense lines, 5° ≤ 2θ ≤ 70°, by angle:
Position (°2θ)	I/Imax
21.28	84
24.60	41
30.73	62
33.18	100
36.87	84
48.74	17
50.43	32
56.78	19
62.54	21
62.65	16
64.09	31
66.43	15

```
Li2AcY2Sn2
1.0
2.4377 1.4074 9.3653
-2.4377 1.4074 9.3653
0.0000 -2.8148 9.3653
Li Ac Y Sn
2 1 2 2
Direct
0.0807 0.0807 0.0807
0.9193 0.9193 0.9193
0.5000 0.5000 0.5000
0.3680 0.3680 0.3680
0.6320 0.6320 0.6320
0.2452 0.2452 0.2452
0.7548 0.7548 0.7548
```

(9)
# Sr2Li16Ac
Simulated powder diffraction line list, CuKα. Input: a structure optimized by DFT (PBE).
Peak positions follow from Bragg's law for the DFT cell and can differ from measured ones.

Most intense lines, 5° ≤ 2θ ≤ 70°, by angle:
Position (°2θ)	I/Imax
11.35	35
15.13	36
16.98	100
24.34	38
25.18	32
28.58	17
29.64	33
30.53	22
34.35	25
34.52	18
35.14	28
45.98	23

```
Sr2Li16Ac
1.0
5.2211 3.0144 5.1227
-5.2211 3.0144 5.1227
0.0000 -6.0288 5.1227
Sr Li Ac
2 16 1
Direct
0.0000 0.0000 0.0000
0.3014 0.3014 0.3014
0.1669 0.6338 0.6338
0.3017 0.3017 0.7906
0.3017 0.7906 0.3017
0.3343 0.6421 0.9421
0.3343 0.9421 0.6421
0.4766 0.9958 0.9958
0.5350 0.5350 0.5350
0.6338 0.1669 0.6338
0.6338 0.6338 0.1669
0.6421 0.3343 0.9421
0.6421 0.9421 0.3343
0.7906 0.3017 0.3017
0.9421 0.3343 0.6421
0.9421 0.6421 0.3343
0.9958 0.4766 0.9958
0.9958 0.9958 0.4766
0.7440 0.7440 0.7440
```

(10)
# Li3AcTe3
Simulated powder diffraction line list, CuKα. Input: a structure optimized by DFT (PBE).
Peak positions follow from Bragg's law for the DFT cell and can differ from measured ones.

Most intense lines, 5° ≤ 2θ ≤ 70°, by angle:
Position (°2θ)	I/Imax
11.52	20
13.13	22
14.73	16
24.76	100
32.04	59
38.30	37
41.68	23
46.14	18
50.77	16
61.47	15
62.47	16
65.34	15

```
Li3AcTe3
1.0
4.0704 2.3500 7.6790
-4.0704 2.3500 7.6790
0.0000 -4.7001 7.6790
Li Ac Te
6 2 6
Direct
0.1293 0.4385 0.8034
0.1966 0.8707 0.5615
0.4385 0.8034 0.1293
0.5615 0.1966 0.8707
0.8034 0.1293 0.4385
0.8707 0.5615 0.1966
0.3340 0.3340 0.3340
0.6660 0.6660 0.6660
0.0840 0.7394 0.4368
0.2606 0.5632 0.9160
0.4368 0.0840 0.7394
0.5632 0.9160 0.2606
0.7394 0.4368 0.0840
0.9160 0.2606 0.5632
```

(11)
# LiAc5Te8
Simulated powder diffraction line list, CuKα. Input: a structure optimized by DFT (PBE).
Peak positions follow from Bragg's law for the DFT cell and can differ from measured ones.

Most intense lines, 5° ≤ 2θ ≤ 70°, by angle:
Position (°2θ)	I/Imax
21.76	13
21.95	16
28.09	42
28.52	100
33.53	48
33.74	21
33.87	33
40.65	13
42.57	16
44.76	15
57.37	24
69.81	12

```
LiAc5Te8
1.0
-4.9458 4.9458 5.0309
4.9458 -4.9458 5.0309
4.9458 4.9458 -5.0309
Li Ac Te
1 5 8
Direct
0.0000 0.0000 0.0000
0.2449 0.1181 0.6209
0.3761 0.7551 0.8733
0.4972 0.6239 0.3791
0.7500 0.2500 0.5000
0.8819 0.5028 0.1267
0.1162 0.3605 0.3898
0.1315 0.3855 0.9008
0.2736 0.8838 0.2443
0.4847 0.2307 0.0992
0.6145 0.5153 0.7460
0.6395 0.0293 0.7557
0.7693 0.8685 0.2540
0.9707 0.7264 0.6102
```

(12)
# LiAcTe2
Simulated powder diffraction line list, CuKα. Input: a structure optimized by DFT (PBE).
Peak positions follow from Bragg's law for the DFT cell and can differ from measured ones.

Most intense lines, 5° ≤ 2θ ≤ 70°, by angle:
Position (°2θ)	I/Imax
15.47	39
17.90	67
20.53	50
25.61	79
25.87	100
27.51	58
29.53	65
31.20	60
31.31	35
31.73	72
33.84	65
36.12	48

```
LiAcTe2
1.0
7.8975 0.0000 0.0000
0.0000 8.4556 0.0000
-1.5291 0.0000 7.8018
Li Ac Te
4 4 8
Direct
0.1057 0.1528 0.0796
0.1057 0.3472 0.5796
0.8943 0.6528 0.4204
0.8943 0.8472 0.9204
0.3035 0.5563 0.1899
0.3035 0.9437 0.6899
0.6965 0.0563 0.3101
0.6965 0.4437 0.8101
0.0781 0.6187 0.7758
0.0781 0.8813 0.2758
0.4215 0.2308 0.9927
0.4215 0.2692 0.4927
0.5785 0.7308 0.5073
0.5785 0.7692 0.0073
0.9219 0.1187 0.7242
0.9219 0.3813 0.2242
```

(13)
# LiAc4Te4
Simulated powder diffraction line list, CuKα. Input: a structure optimized by DFT (PBE).
Peak positions follow from Bragg's law for the DFT cell and can differ from measured ones.

Most intense lines, 5° ≤ 2θ ≤ 70°, by angle:
Position (°2θ)	I/Imax
22.78	21
26.19	100
26.72	54
32.33	40
37.37	34
37.76	75
46.53	35
50.84	10
57.51	28
61.14	10
61.95	15
67.66	13

```
LiAc4Te4
1.0
9.6257 0.0000 0.0000
0.0000 9.6257 0.0000
0.0000 0.0000 6.6730
Li Ac Te
2 8 8
Direct
0.2500 0.7500 0.2500
0.7500 0.2500 0.7500
0.0352 0.2500 0.0190
0.2500 0.0352 0.5190
0.2500 0.4648 0.5190
0.4648 0.2500 0.0190
0.5352 0.7500 0.9810
0.7500 0.5352 0.4810
0.7500 0.9648 0.4810
0.9648 0.7500 0.9810
0.0263 0.7500 0.4874
0.2500 0.5263 0.0126
0.2500 0.9737 0.0126
0.4737 0.7500 0.4874
0.5263 0.2500 0.5126
0.7500 0.0263 0.9874
0.7500 0.4737 0.9874
0.9737 0.2500 0.5126
```